Record 1
For Na3La2B3O9, DFT lattice parameters and positions (PBE) gives the theoretical powder diffraction line list in this record (Cu Kα, 1.54184 Å).
Kinematic intensities with the Lorentz-polarization factor, no thermal factor.

Most intense lines, 2θ = 15–90°, low angle first:
- d = 5.693 Å, I = 82, hkl 0 2 0
- d = 5.183 Å, I = 100, hkl 1 0 0
- d = 3.833 Å, I = 57, hkl 1 2 0
- d = 3.089 Å, I = 53, hkl 0 2 2
- d = 2.999 Å, I = 66, hkl 1 0 2
- d = 2.654 Å, I = 75, hkl 1 2 2

Structural model:
```
data_Na3La2B3O9
_cell_length_a 5.183
_cell_length_b 11.386
_cell_length_c 7.355
_cell_angle_alpha 90.00
_cell_angle_beta 90.00
_cell_angle_gamma 90.00
_symmetry_space_group_name_H-M 'A m m 2'
_symmetry_Int_Tables_number 38
loop_
_symmetry_equiv_pos_as_xyz
'x,y,z'
'-x,-y,z'
'-x,y,z'
'x,-y,z'
'x,y+1/2,z+1/2'
'-x,-y+1/2,z+1/2'
'-x,y+1/2,z+1/2'
'x,-y+1/2,z+1/2'
loop_
_atom_site_label
_atom_site_fract_x
_atom_site_fract_y
_atom_site_fract_z
_atom_site_occupancy
Na1 0.000 0.000 0.000 1
Na2 0.000 0.000 0.418 1
Na3 0.500 0.000 0.746 1
La1 0.500 0.213 0.119 1
B1 0.000 0.215 0.795 1
B2 0.500 0.000 0.347 1
O1 0.000 0.175 0.213 1
O2 0.234 0.159 0.830 1
O3 0.500 0.000 0.156 1
O4 0.500 0.105 0.439 1
```

=====

Record 2
For Gd2AgRu, DFT lattice parameters and positions (PBE) gives the theoretical powder diffraction line list in this record (Cu Kα, 1.54184 Å).
Kinematic intensities with the Lorentz-polarization factor, no thermal factor.

Most intense lines, 2θ = 15–90°, low angle first:
- d = 3.542 Å, I = 4, hkl 2 0 0
- d = 2.505 Å, I = 100, hkl 2 2 0
- d = 1.771 Å, I = 17, hkl 4 0 0
- d = 1.446 Å, I = 35, hkl 4 2 2
- d = 1.252 Å, I = 11, hkl 4 4 0
- d = 1.120 Å, I = 16, hkl 6 2 0

Structural model:
```
data_Gd2AgRu
_cell_length_a 7.084
_cell_length_b 7.084
_cell_length_c 7.084
_cell_angle_alpha 90.00
_cell_angle_beta 90.00
_cell_angle_gamma 90.00
_symmetry_space_group_name_H-M 'F m -3 m'
_symmetry_Int_Tables_number 225
_symmetry_space_group_name_Hall '-F 4 2 3'
loop_
_atom_site_label
_atom_site_fract_x
_atom_site_fract_y
_atom_site_fract_z
_atom_site_occupancy
Gd1 0.250 0.250 0.250 1
Ag1 0.000 0.000 0.000 1
Ru1 0.000 0.000 0.500 1
```

=====

Q: Number 2 is which compound?
A: Gd2AgRu